Starting from a DFT-relaxed cell (PBE, the Materials Project), the powder diffraction line list of KTaF6 was computed for Cu Kα (weighted mean of Kα1 and Kα2).

```
KTaF6
1.0
5.289 0.000 0.000
0.000 5.289 0.000
0.000 0.000 9.972
K Ta F
2 2 12
Cartesian
0.000 0.000 0.000
0.000 0.000 4.986
2.644 2.644 2.493
2.644 2.644 7.479
1.279 1.279 2.493
1.279 4.010 7.479
1.624 1.733 6.124
1.624 3.556 1.138
1.733 1.624 8.835
1.733 3.664 3.848
3.556 1.624 3.848
3.556 3.664 8.835
3.664 1.733 1.138
3.664 3.556 6.124
4.010 1.279 7.479
4.010 4.010 2.493
```

The 8 most intense peaks (10° ≤ 2θ ≤ 90°), most intense first:
- 2θ 24.5, rel. 100.0
- 2θ 16.8, rel. 75.1
- 2θ 23.8, rel. 65.0
- 2θ 42.3, rel. 51.8
- 2θ 17.8, rel. 32.2
- 2θ 29.9, rel. 24.3
- 2θ 43.6, rel. 20.3
- 2θ 58.2, rel. 19.1

Starting from a DFT-relaxed cell (PBE, the Materials Project), the powder diffraction line list of Al3SiMo12 was computed for Cu Kα (weighted mean of Kα1 and Kα2).

```
Al3SiMo12
1.0
4.969 0.000 0.000
0.000 4.970 0.000
0.000 0.000 9.924
Al Si Mo
3 1 12
Cartesian
0.000 0.000 0.000
2.484 2.485 2.481
2.484 2.485 7.443
0.000 0.000 4.962
0.000 1.240 2.491
0.000 1.240 7.434
0.000 3.730 2.491
0.000 3.730 7.434
1.232 2.485 4.962
1.242 2.485 0.000
2.484 0.000 1.241
2.484 0.000 3.731
2.484 0.000 6.194
2.484 0.000 8.683
3.727 2.485 0.000
3.737 2.485 4.962
```

The 8 most intense peaks (10° ≤ 2θ ≤ 90°), most intense first:
- 2θ 40.6, rel. 100.0
- 2θ 44.7, rel. 30.8
- 2θ 25.4, rel. 22.9
- 2θ 68.1, rel. 20.8
- 2θ 71.0, rel. 15.1
- 2θ 65.1, rel. 14.6
- 2θ 36.2, rel. 14.3
- 2θ 76.7, rel. 6.7

Starting from a DFT-relaxed cell (PBE, the Materials Project), the powder diffraction line list of LiAlSi2O6 was computed for Cu Kα (weighted mean of Kα1 and Kα2).

```
LiAlSi2O6
1.0
4.811 -4.236 0.000
4.811 4.236 0.000
-1.858 0.000 4.937
Li Al Si O
2 2 4 12
Cartesian
3.417 2.292 3.703
4.346 -2.292 1.234
4.346 0.801 1.234
3.417 -0.801 3.703
0.610 0.791 3.663
1.539 -0.791 1.195
6.225 0.791 3.742
7.154 -0.791 1.274
0.587 0.149 2.148
2.963 1.981 1.480
-0.342 -0.149 4.617
2.165 0.703 4.241
5.729 1.981 0.988
3.094 -0.703 1.773
4.670 0.703 3.164
2.034 -1.981 3.949
5.598 -0.703 0.696
8.105 0.149 0.320
4.801 -1.981 3.457
7.177 -0.149 2.789
```

The 8 most intense peaks (10° ≤ 2θ ≤ 90°), most intense first:
- 2θ 30.2, rel. 100.0
- 2θ 31.6, rel. 55.0
- 2θ 36.4, rel. 36.3
- 2θ 21.0, rel. 33.6
- 2θ 27.7, rel. 25.4
- 2θ 58.0, rel. 23.6
- 2θ 25.7, rel. 23.1
- 2θ 20.1, rel. 20.9

Starting from a DFT-relaxed cell (PBE, the Materials Project), the powder diffraction line list of LiCu2Rh4O8 was computed for Cu Kα (weighted mean of Kα1 and Kα2).

```
LiCu2Rh4O8
1.0
-3.121 3.140 4.396
3.121 -3.140 4.396
3.121 3.140 -4.396
Li Cu Rh O
1 2 4 8
Cartesian
0.000 0.000 0.000
0.000 0.000 2.355
0.000 3.140 3.649
3.121 -1.563 2.498
3.121 1.563 2.498
1.550 3.140 0.359
1.570 0.000 4.756
1.330 3.140 -1.724
1.791 0.000 2.673
0.000 1.805 0.198
3.121 1.745 0.431
0.000 4.475 0.198
0.000 1.395 4.828
1.743 3.140 2.442
1.377 0.000 6.839
```

The 8 most intense peaks (10° ≤ 2θ ≤ 90°), most intense first:
- 2θ 33.7, rel. 100.0
- 2θ 17.4, rel. 98.5
- 2θ 33.5, rel. 87.5
- 2θ 59.2, rel. 60.9
- 2θ 35.3, rel. 48.5
- 2θ 40.8, rel. 38.7
- 2θ 41.1, rel. 35.0
- 2θ 53.8, rel. 28.6

Starting from a DFT-relaxed cell (PBE, the Materials Project), the powder diffraction line list of Dy2AgOs was computed for Cu Kα (weighted mean of Kα1 and Kα2).

```
Dy2AgOs
1.0
0.000 3.500 3.500
3.500 0.000 3.500
3.500 3.500 0.000
Dy Ag Os
2 1 1
Cartesian
1.750 1.750 1.750
5.251 5.251 5.251
0.000 0.000 0.000
3.500 3.500 3.500
```

The 8 most intense peaks (10° ≤ 2θ ≤ 90°), most intense first:
- 2θ 36.3, rel. 100.0
- 2θ 65.3, rel. 35.9
- 2θ 52.3, rel. 17.6
- 2θ 88.3, rel. 16.4
- 2θ 77.1, rel. 11.2
- 2θ 22.0, rel. 3.2
- 2θ 42.8, rel. 1.9
- 2θ 57.4, rel. 0.9

Starting from a DFT-relaxed cell (PBE, the Materials Project), the powder diffraction line list of Ce2Nd2O7 was computed for Cu Kα (weighted mean of Kα1 and Kα2).

```
Ce2Nd2O7
1.0
7.966 0.000 0.000
0.000 3.808 0.000
0.000 0.000 11.228
Ce Nd O
4 4 14
Cartesian
0.000 0.000 0.000
1.991 1.904 2.798
3.983 0.000 0.000
5.974 1.904 8.429
0.000 0.000 5.614
1.991 1.904 8.670
3.983 0.000 5.614
5.974 1.904 2.558
0.124 1.904 1.334
0.328 1.904 7.055
1.991 0.000 1.503
1.991 0.000 4.282
1.991 0.000 9.929
3.655 1.904 7.055
3.859 1.904 1.334
4.107 1.904 9.894
4.311 1.904 4.172
5.974 0.000 1.299
5.974 0.000 6.945
5.974 0.000 9.724
7.638 1.904 4.172
7.841 1.904 9.894
```

The 8 most intense peaks (10° ≤ 2θ ≤ 90°), most intense first:
- 2θ 27.5, rel. 100.0
- 2θ 28.3, rel. 92.5
- 2θ 46.2, rel. 63.9
- 2θ 32.5, rel. 41.8
- 2θ 54.5, rel. 29.7
- 2θ 56.0, rel. 28.8
- 2θ 31.9, rel. 19.6
- 2θ 45.6, rel. 17.2

Starting from a DFT-relaxed cell (PBE, the Materials Project), the powder diffraction line list of SrAl2Si2O8 was computed for Cu Kα (weighted mean of Kα1 and Kα2).

```
SrAl2Si2O8
1.0
7.472 -5.680 0.000
7.472 5.680 0.000
-1.885 0.000 9.464
Sr Al Si O
4 8 8 32
Cartesian
2.593 1.788 2.629
1.651 -1.788 7.361
11.408 1.788 2.103
10.465 -1.788 6.835
-0.388 0.632 8.386
0.554 -0.632 3.654
4.944 1.506 5.070
7.172 1.506 9.126
5.886 -1.506 0.338
8.115 -1.506 4.394
12.504 0.632 5.810
13.447 -0.632 1.078
4.970 4.295 3.661
9.031 4.295 1.071
4.044 1.139 8.209
4.986 -1.139 3.477
8.072 1.139 5.987
9.015 -1.139 1.255
4.028 -4.295 8.393
8.088 -4.295 5.803
5.395 4.785 6.768
0.916 1.362 7.422
4.244 2.980 4.338
6.568 4.184 3.908
6.721 4.785 7.428
7.433 4.184 0.824
1.285 0.026 5.127
2.227 -0.026 0.395
4.050 1.437 6.596
1.859 -1.362 2.691
4.376 0.350 3.827
5.470 1.383 8.912
3.433 -0.350 8.559
6.647 1.383 5.284
9.757 2.980 0.394
4.992 -1.437 1.864
8.066 1.437 7.599
3.301 -2.980 9.070
6.412 -1.383 4.180
9.625 0.350 0.905
7.589 -1.383 0.552
8.683 -0.350 5.637
11.200 1.362 6.773
9.008 -1.437 2.867
10.831 0.026 9.069
11.774 -0.026 4.337
5.626 -4.184 8.640
6.337 -4.785 2.036
6.490 -4.184 5.555
8.815 -2.980 5.126
12.142 -1.362 2.041
7.663 -4.785 2.696
```

The 8 most intense peaks (10° ≤ 2θ ≤ 90°), most intense first:
- 2θ 12.8, rel. 100.0
- 2θ 32.5, rel. 68.9
- 2θ 20.3, rel. 60.4
- 2θ 31.5, rel. 51.6
- 2θ 29.0, rel. 47.3
- 2θ 22.9, rel. 41.7
- 2θ 32.0, rel. 41.6
- 2θ 33.5, rel. 38.2

Starting from a DFT-relaxed cell (PBE, the Materials Project), the powder diffraction line list of GaC2NCl4 was computed for Cu Kα (weighted mean of Kα1 and Kα2).

```
GaC2NCl4
1.0
12.217 0.000 0.000
0.000 7.378 0.000
0.000 0.000 10.261
Ga C N Cl
4 8 4 16
Cartesian
0.262 1.844 2.449
5.846 5.533 7.579
6.371 1.844 2.682
11.955 5.533 7.813
1.633 1.844 8.051
2.447 1.844 0.188
3.662 5.533 5.318
4.476 5.533 2.920
7.741 1.844 7.341
8.555 1.844 4.943
9.770 5.533 10.074
10.584 5.533 2.210
1.845 1.844 9.231
4.263 5.533 4.101
7.954 1.844 6.161
10.372 5.533 1.030
0.773 1.844 4.504
1.502 0.302 1.212
1.502 3.387 1.212
1.781 5.533 8.433
4.328 1.844 3.302
4.607 3.991 6.343
4.607 7.076 6.343
5.336 5.533 9.634
6.881 1.844 0.627
7.610 0.302 3.918
7.610 3.387 3.918
7.889 5.533 6.959
10.436 1.844 1.829
10.715 3.991 9.049
10.715 7.076 9.049
11.444 5.533 5.758
```

The 8 most intense peaks (10° ≤ 2θ ≤ 90°), most intense first:
- 2θ 14.8, rel. 100.0
- 2θ 20.8, rel. 38.4
- 2θ 14.5, rel. 20.5
- 2θ 30.7, rel. 19.4
- 2θ 11.3, rel. 19.1
- 2θ 23.5, rel. 18.3
- 2θ 18.9, rel. 17.9
- 2θ 24.1, rel. 17.8